The following is a simulated powder X-ray diffraction pattern of NaNb2Si2PO12. It was derived from a DFT-relaxed cell (GGA-PBE, the Materials Project), using CuKα.
Neutral-atom scattering factors, no anomalous dispersion.

```
NaNb2Si2PO12
1.0
7.685 -4.443 0.000
7.685 4.443 0.000
-5.157 0.000 7.663
Na Nb Si P O
2 4 4 2 24
direct
0.250 0.750 0.500
0.750 0.250 0.000
0.106 0.609 0.066
0.391 0.904 0.935
0.609 0.106 0.566
0.904 0.391 0.435
0.001 0.789 0.750
0.215 0.291 0.252
0.291 0.215 0.752
0.789 0.001 0.250
0.502 0.715 0.249
0.715 0.502 0.749
0.028 0.318 0.271
0.028 0.754 0.922
0.110 0.247 0.579
0.184 0.811 0.773
0.186 0.474 0.227
0.247 0.110 0.079
0.252 0.392 0.922
0.318 0.028 0.771
0.331 0.690 0.230
0.392 0.252 0.422
0.474 0.186 0.727
0.475 0.744 0.086
0.528 0.883 0.414
0.540 0.669 0.773
0.611 0.970 0.079
0.669 0.540 0.273
0.690 0.331 0.730
0.744 0.475 0.586
0.754 0.028 0.422
0.811 0.184 0.273
0.823 0.974 0.728
0.883 0.528 0.914
0.970 0.611 0.579
0.974 0.823 0.228
```

Top 6 peaks for 10 to 90 degrees two-theta, by angle:
2θ/deg	d/Å	I_rel
19.3	4.604	74.4
20.0	4.440	100.0
23.2	3.842	62.8
27.9	3.200	31.7
30.8	2.904	45.1
35.0	2.564	31.4